The following is a computed X-ray diffraction stick pattern of TbSm12Ho5. It was derived from the PBE geometry in Alexandria, using Cu Kα (λ = 1.5418 Å).
Peak positions follow from Bragg's law for the DFT cell and can differ from measured ones.

Structure:
Cell lengths 10.780, 10.780, 5.088 Å; angles 90.00, 90.00, 90.10 degrees
Fractional coordinates of all 18 atoms:
Tb: 0.000 0.000 0.000
Sm: 0.001 0.668 0.000
Sm: 0.166 0.166 0.500
Sm: 0.168 0.501 0.500
Sm: 0.332 0.999 0.000
Sm: 0.335 0.335 0.000
Sm: 0.499 0.832 0.500
Sm: 0.501 0.168 0.500
Sm: 0.665 0.665 0.000
Sm: 0.668 0.001 0.000
Sm: 0.832 0.499 0.500
Sm: 0.834 0.834 0.500
Sm: 0.999 0.332 0.000
Ho: 0.167 0.833 0.500
Ho: 0.333 0.667 0.000
Ho: 0.500 0.500 0.500
Ho: 0.667 0.333 0.000
Ho: 0.833 0.167 0.500

Top 6 peaks for 2θ = 5–70°, in order of rising 2θ:
- 2θ 30.5, I 100
- 2θ 35.3, I 51
- 2θ 50.8, I 36
- 2θ 60.4, I 29
- 2θ 60.5, I 14
- 2θ 63.4, I 12

=====

The following is a computed X-ray diffraction stick pattern of TbSm5Ho3. It was derived from the PBE geometry in Alexandria, using Cu Kα (λ = 1.5418 Å).
Peak positions follow from Bragg's law for the DFT cell and can differ from measured ones.

Structure:
Cell lengths 8.856, 8.856, 11.528 Å; angles 108.57, 108.57, 44.61 degrees
Fractional coordinates of all 18 atoms:
Tb: 0.239 0.761 0.750
Tb: 0.761 0.239 0.250
Sm: 0.081 0.262 0.847
Sm: 0.262 0.081 0.347
Sm: 0.314 0.686 0.250
Sm: 0.387 0.392 0.949
Sm: 0.392 0.387 0.449
Sm: 0.608 0.613 0.551
Sm: 0.613 0.608 0.051
Sm: 0.686 0.314 0.750
Sm: 0.738 0.919 0.653
Sm: 0.919 0.738 0.153
Ho: 0.000 0.000 0.000
Ho: 0.000 0.000 0.500
Ho: 0.162 0.360 0.628
Ho: 0.360 0.162 0.128
Ho: 0.640 0.838 0.872
Ho: 0.838 0.640 0.372

Top 10 peaks for 2θ = 5–70°, in order of rising 2θ:
- 2θ 30.9, I 38
- 2θ 31.0, I 100
- 2θ 31.3, I 44
- 2θ 31.4, I 18
- 2θ 32.0, I 12
- 2θ 32.9, I 14
- 2θ 33.1, I 12
- 2θ 35.5, I 12
- 2θ 35.6, I 14
- 2θ 55.3, I 19

=====

The following is a computed X-ray diffraction stick pattern of Tb12Sm5Ho2. It was derived from the PBE geometry in Alexandria, using Cu Kα (λ = 1.5418 Å).
Peak positions follow from Bragg's law for the DFT cell and can differ from measured ones.

Structure:
Cell lengths 6.188, 9.464, 10.719 Å; angles 100.98, 95.48, 90.09 degrees
Fractional coordinates of all 19 atoms:
Tb: 0.026 0.106 0.159
Tb: 0.131 0.526 0.788
Tb: 0.183 0.737 0.105
Tb: 0.290 0.159 0.736
Tb: 0.395 0.579 0.369
Tb: 0.447 0.788 0.683
Tb: 0.553 0.212 0.317
Tb: 0.605 0.421 0.631
Tb: 0.710 0.841 0.264
Tb: 0.817 0.263 0.895
Tb: 0.869 0.474 0.212
Tb: 0.974 0.894 0.841
Sm: 0.237 0.947 0.421
Sm: 0.342 0.369 0.053
Sm: 0.500 0.000 0.000
Sm: 0.658 0.631 0.947
Sm: 0.763 0.053 0.579
Ho: 0.079 0.317 0.474
Ho: 0.921 0.683 0.526

Top 8 peaks for 2θ = 5–70°, in order of rising 2θ:
- 2θ 30.6, I 33
- 2θ 30.6, I 100
- 2θ 35.5, I 68
- 2θ 51.1, I 48
- 2θ 60.7, I 24
- 2θ 60.8, I 33
- 2θ 63.8, I 8
- 2θ 63.8, I 8

=====

The following is a computed X-ray diffraction stick pattern of Tb2Sm8Ho. It was derived from the PBE geometry in Alexandria, using Cu Kα (λ = 1.5418 Å).
Peak positions follow from Bragg's law for the DFT cell and can differ from measured ones.

Structure:
Cell lengths 8.477, 8.477, 5.466 Å; angles 90.10, 90.10, 105.21 degrees
Fractional coordinates of all 11 atoms:
Tb: 0.119 0.881 0.000
Tb: 0.881 0.119 0.000
Sm: 0.166 0.166 0.500
Sm: 0.201 0.470 0.999
Sm: 0.248 0.752 0.500
Sm: 0.470 0.201 0.999
Sm: 0.530 0.799 0.001
Sm: 0.752 0.248 0.500
Sm: 0.799 0.530 0.001
Sm: 0.834 0.834 0.500
Ho: 0.500 0.500 0.500

Top 10 peaks for 2θ = 5–70°, in order of rising 2θ:
- 2θ 31.2, I 100
- 2θ 31.5, I 84
- 2θ 32.8, I 88
- 2θ 42.7, I 15
- 2θ 47.0, I 16
- 2θ 47.1, I 16
- 2θ 53.4, I 12
- 2θ 57.4, I 19
- 2θ 57.5, I 19
- 2θ 63.1, I 27

=====

The following is a computed X-ray diffraction stick pattern of Tb5SmHo. It was derived from the PBE geometry in Alexandria, using Cu Kα (λ = 1.5418 Å).
Peak positions follow from Bragg's law for the DFT cell and can differ from measured ones.

Structure:
Cell lengths 6.772, 6.772, 12.256 Å; angles 107.95, 107.95, 59.76 degrees
Fractional coordinates of all 14 atoms:
Tb: 0.086 0.351 0.745
Tb: 0.088 0.912 0.750
Tb: 0.156 0.685 0.999
Tb: 0.315 0.844 0.501
Tb: 0.351 0.086 0.245
Tb: 0.649 0.914 0.755
Tb: 0.685 0.156 0.499
Tb: 0.844 0.315 0.001
Tb: 0.912 0.088 0.250
Tb: 0.914 0.649 0.255
Sm: 0.471 0.529 0.250
Sm: 0.529 0.471 0.750
Ho: 0.000 0.500 0.500
Ho: 0.500 0.000 0.000

Top 10 peaks for 2θ = 5–70°, in order of rising 2θ:
- 2θ 26.4, I 33
- 2θ 30.2, I 75
- 2θ 30.7, I 56
- 2θ 30.8, I 74
- 2θ 31.1, I 84
- 2θ 31.2, I 100
- 2θ 32.6, I 23
- 2θ 33.5, I 38
- 2θ 35.4, I 36
- 2θ 56.1, I 30

=====

The following is a computed X-ray diffraction stick pattern of Tb7SmHo5. It was derived from the PBE geometry in Alexandria, using Cu Kα (λ = 1.5418 Å).
Peak positions follow from Bragg's law for the DFT cell and can differ from measured ones.

Structure:
Cell lengths 8.683, 8.683, 8.683 Å; angles 134.78, 100.43, 96.58 degrees
Fractional coordinates of all 13 atoms:
Tb: 0.000 0.000 0.000
Tb: 0.228 0.557 0.671
Tb: 0.306 0.306 0.000
Tb: 0.306 0.806 0.500
Tb: 0.387 0.058 0.329
Tb: 0.729 0.058 0.671
Tb: 0.886 0.557 0.329
Sm: 0.611 0.611 0.000
Ho: 0.037 0.041 0.463
Ho: 0.037 0.574 0.996
Ho: 0.579 0.041 0.004
Ho: 0.579 0.574 0.537
Ho: 0.808 0.308 0.500

Top 10 peaks for 2θ = 5–70°, in order of rising 2θ:
- 2θ 26.7, I 23
- 2θ 27.5, I 28
- 2θ 30.9, I 100
- 2θ 31.3, I 58
- 2θ 31.7, I 77
- 2θ 35.0, I 83
- 2θ 35.9, I 28
- 2θ 55.0, I 28
- 2θ 56.9, I 26
- 2θ 57.7, I 33